# Na3TaF6
Calculated powder XRD pattern, Cu Kα (λ = 1.5418 Å). Input: a cell relaxed with PBE.
Intensities are scaled so that the largest is 100.

Cell and atoms:
```
data_Na3TaF6
_chemical_formula_sum 'Na12 Ta4 F24'
_cell_length_a 8.5720
_cell_length_b 8.5720
_cell_length_c 8.5720
_cell_angle_alpha 90.00
_cell_angle_beta 90.00
_cell_angle_gamma 90.00
_symmetry_space_group_name_H-M 'F m -3 m'
_symmetry_Int_Tables_number 225
_symmetry_space_group_name_Hall '-F 4 2 3'
loop_
_atom_site_label
_atom_site_type_symbol
_atom_site_fract_x
_atom_site_fract_y
_atom_site_fract_z
Na1 Na 0.0000 0.0000 0.0000
Na2 Na 0.2500 0.2500 0.2500
Ta1 Ta 0.0000 0.0000 0.5000
F1 F 0.0000 0.0000 0.2598
```

Top 10 peaks for 2θ from 15° to 90°, in order of rising 2θ:
2θ = 17.92°, I = 100
2θ = 20.72°, I = 80
2θ = 29.47°, I = 79
2θ = 34.71°, I = 52
2θ = 42.17°, I = 44
2θ = 46.16°, I = 21
2θ = 47.43°, I = 34
2θ = 52.28°, I = 33
2θ = 55.72°, I = 21
2θ = 61.16°, I = 26